No. 1
Structure and calculated powder XRD pattern of VP2O7 (DFT lattice parameters and positions (PBE+U); Cu Ka).
Intensities are scaled so that the largest is 100.

Peak list (8 most intense, 5 to 70 degrees two-theta, by angle)
d_spacing	intensity
4.011	100
3.611	58
3.587	29
3.046	29
2.537	20
2.426	43
1.948	23
1.573	18

```
20
Lattice="-5.6722 5.6722 1.9043 5.6722 -5.6722 1.9043 5.6722 5.6722 -1.9043" Properties=species:S:1:pos:R:3 pbc="T T T"
V 0.0000 0.0000 0.0000
V 0.0000 5.6722 0.9522
P 2.8361 1.7736 -0.4761
P 3.8986 -2.8361 2.3804
P 2.8361 3.8986 1.4283
P 1.7736 8.5083 0.4761
O 4.6768 -3.9226 1.7114
O 1.7496 0.9954 0.1929
O 2.8361 -2.0931 1.4283
O 5.6722 0.0000 0.9522
O 3.5791 2.8361 0.4761
O 0.0000 0.0000 1.9043
O 2.8361 7.7653 -0.4761
O 1.7496 4.6768 0.7592
O -0.9954 3.9226 1.1451
O -1.7496 6.6676 0.7592
O 0.9954 9.5948 -0.1929
O 2.0931 2.8361 2.3804
O 0.9954 7.4218 1.1451
O 3.9226 4.6768 2.0973
```



No. 2
Structure and calculated powder XRD pattern of VP2O7 (DFT lattice parameters and positions (PBE+U); Cu Ka).
Intensities are scaled so that the largest is 100.

Peak list (8 most intense, 5 to 70 degrees two-theta, by angle)
d_spacing	intensity
5.933	39
3.988	100
3.851	56
2.790	24
2.720	11
2.589	13
2.513	8
1.664	8

```
40
Lattice="8.6236 0.0000 0.0000 0.0000 5.1776 0.0000 -5.9728 0.0000 11.8668" Properties=species:S:1:pos:R:3 pbc="T T T"
V -0.8064 1.2372 5.5112
V -3.7928 1.3516 11.4447
V 6.4435 3.8260 0.4222
V 3.4571 3.9404 6.3556
P -2.0355 3.7568 7.2704
P 0.9509 4.0096 1.3370
P -2.2245 3.8480 10.1967
P 0.7619 3.9185 4.2633
P 1.8888 1.2591 7.6035
P 4.8752 1.3297 1.6701
P 1.6999 1.1680 10.5299
P 4.6863 1.4208 4.5964
O -0.5702 3.7232 1.4006
O -3.5566 4.0433 7.3340
O 1.2242 0.2853 0.9820
O -1.7622 2.3035 6.9154
O 1.7152 3.0319 0.4770
O -1.2712 4.7346 6.4105
O -0.2429 2.8008 4.4466
O -3.2293 4.9657 10.3800
O 0.1541 0.1460 4.2030
O -2.8323 2.4428 10.1364
O 1.4885 3.7368 2.8341
O -1.4980 4.0296 8.7675
O 3.7330 1.2184 0.6530
O 0.7466 1.3705 6.5865
O 1.9042 3.8072 5.2804
O -1.0823 3.9593 11.2138
O 4.1487 1.1480 3.0994
O 1.1623 1.4408 9.0328
O 5.4831 2.7348 1.7304
O 2.4967 5.0316 7.6638
O 5.8800 0.2119 1.4868
O 2.8936 2.3769 7.4202
O 3.9219 0.4431 5.4564
O 0.9355 2.1457 11.3898
O 4.4129 2.8741 4.9514
O 1.4265 4.8923 10.8848
O 6.2073 1.1344 4.5328
O 3.2209 1.4544 10.4662
```



Q: What is the formula in the second record?
A: VP2O7



Copy entry 1 word for word.
Structure and calculated powder XRD pattern of VP2O7 (DFT lattice parameters and positions (PBE+U); Cu Ka).
Intensities are scaled so that the largest is 100.

Peak list (8 most intense, 5 to 70 degrees two-theta, by angle)
d_spacing	intensity
4.011	100
3.611	58
3.587	29
3.046	29
2.537	20
2.426	43
1.948	23
1.573	18

```
20
Lattice="-5.6722 5.6722 1.9043 5.6722 -5.6722 1.9043 5.6722 5.6722 -1.9043" Properties=species:S:1:pos:R:3 pbc="T T T"
V 0.0000 0.0000 0.0000
V 0.0000 5.6722 0.9522
P 2.8361 1.7736 -0.4761
P 3.8986 -2.8361 2.3804
P 2.8361 3.8986 1.4283
P 1.7736 8.5083 0.4761
O 4.6768 -3.9226 1.7114
O 1.7496 0.9954 0.1929
O 2.8361 -2.0931 1.4283
O 5.6722 0.0000 0.9522
O 3.5791 2.8361 0.4761
O 0.0000 0.0000 1.9043
O 2.8361 7.7653 -0.4761
O 1.7496 4.6768 0.7592
O -0.9954 3.9226 1.1451
O -1.7496 6.6676 0.7592
O 0.9954 9.5948 -0.1929
O 2.0931 2.8361 2.3804
O 0.9954 7.4218 1.1451
O 3.9226 4.6768 2.0973
```



Q: Which formula does entry 2 have?
A: VP2O7